Computed XRD peak list of Er2Tm2InCo2Ge4 for λ = 1.5418 Å (Cu Kα), from the PBE geometry in OQMD.

Crystal structure
Cell: 7.955 7.955 6.951 Å, 107.34 107.34 30.64°
Fractional coordinates of all 11 atoms:
Er (0.091, 0.091, 0.390)
Er (0.909, 0.909, 0.610)
Tm (0.155, 0.155, 0.940)
Tm (0.845, 0.845, 0.060)
In (0.500, 0.500, 0.000)
Co (0.280, 0.280, 0.368)
Co (0.720, 0.720, 0.632)
Ge (0.295, 0.295, 0.732)
Ge (0.432, 0.432, 0.339)
Ge (0.568, 0.568, 0.661)
Ge (0.705, 0.705, 0.268)

Main lines, low angle first (5° ≤ 2θ ≤ 70°):
2θ = 28.05°, I = 28.6
2θ = 33.03°, I = 20.6
2θ = 33.65°, I = 79.8
2θ = 34.97°, I = 100.0
2θ = 35.16°, I = 34.5
2θ = 36.53°, I = 87.5
2θ = 37.51°, I = 32.0
2θ = 38.59°, I = 21.4
2θ = 40.96°, I = 21.5
2θ = 43.03°, I = 52.9
2θ = 43.43°, I = 20.1
2θ = 58.52°, I = 25.2

=====

Computed XRD peak list of Ag2I3Cl for λ = 1.5418 Å (Cu Kα), from the PBE geometry in OQMD.

Crystal structure
Cell: 7.427 3.927 8.148 Å, 90.00 116.04 90.00°
Fractional coordinates of all 6 atoms:
Ag (0.000, 0.000, 0.000)
Ag (0.485, 0.500, 0.500)
I (0.217, 0.000, 0.492)
I (0.726, 0.500, 0.992)
I (0.750, 0.000, 0.501)
Cl (0.223, 0.500, 0.010)

Main lines, low angle first (5° ≤ 2θ ≤ 70°):
2θ = 13.47°, I = 48.4
2θ = 24.31°, I = 100.0
2θ = 25.75°, I = 15.0
2θ = 26.34°, I = 29.9
2θ = 31.76°, I = 14.9
2θ = 33.21°, I = 86.9
2θ = 41.30°, I = 46.3
2θ = 41.87°, I = 45.2
2θ = 46.24°, I = 17.1
2θ = 52.92°, I = 22.5
2θ = 60.77°, I = 14.0
2θ = 61.62°, I = 13.8

=====

Computed XRD peak list of Ba2SrB2Pt7 for λ = 1.5418 Å (Cu Kα), from the PBE geometry in OQMD.

Crystal structure
Cell: 8.603 8.603 8.603 Å, 38.60 38.60 38.60°
Fractional coordinates of all 12 atoms:
Ba (0.143, 0.143, 0.143)
Ba (0.857, 0.857, 0.857)
Sr (0.000, 0.000, 0.000)
B (0.330, 0.330, 0.330)
B (0.670, 0.670, 0.670)
Pt (0.067, 0.560, 0.560)
Pt (0.440, 0.440, 0.933)
Pt (0.440, 0.933, 0.440)
Pt (0.500, 0.500, 0.500)
Pt (0.560, 0.067, 0.560)
Pt (0.560, 0.560, 0.067)
Pt (0.933, 0.440, 0.440)

Main lines, low angle first (5° ≤ 2θ ≤ 70°):
2θ = 18.39°, I = 42.3
2θ = 31.94°, I = 29.0
2θ = 33.47°, I = 45.9
2θ = 33.82°, I = 49.5
2θ = 35.18°, I = 59.6
2θ = 36.69°, I = 100.0
2θ = 37.28°, I = 81.2
2θ = 38.94°, I = 72.9
2θ = 45.44°, I = 36.6
2θ = 58.45°, I = 27.9
2θ = 65.67°, I = 43.4
2θ = 66.76°, I = 25.6

=====

- What is the formula in the third record?
  Ba2SrB2Pt7